Entry 1:
This entry pairs a crystal structure of YEr2In2 with its simulated X-ray powder pattern. Radiation: Cu Ka. Structure: DFT lattice parameters and positions (PBE).
Neutral-atom scattering factors, no anomalous dispersion.

Top 6 peaks for 5 to 70 degrees two-theta, in order of rising 2θ:
| two_theta | intensity |
| --- | --- |
| 32.50 | 24 |
| 33.54 | 100 |
| 33.73 | 26 |
| 47.54 | 16 |
| 58.65 | 13 |
| 60.21 | 18 |

Cell and atoms:
Lattice parameters (Å, degrees): 3.7325 5.3148 13.9026 90.00 97.72 90.00
Sites, in units of the cell vectors:
Y1 0.1481 0.2500 0.2978
Y2 0.8519 0.7500 0.7022
Er1 0.0480 0.7500 0.0961
Er2 0.2373 0.7500 0.4747
Er3 0.7627 0.2500 0.5253
Er4 0.9520 0.2500 0.9039
In1 0.3569 0.2500 0.7125
In2 0.4505 0.7500 0.9014
In3 0.5495 0.2500 0.0986
In4 0.6431 0.7500 0.2875

Entry 2:
This entry pairs a crystal structure of LaPm4Er8 with its simulated X-ray powder pattern. Radiation: Cu Ka. Structure: DFT lattice parameters and positions (PBE).
Neutral-atom scattering factors, no anomalous dispersion.

Top 6 peaks for 5 to 70 degrees two-theta, in order of rising 2θ:
| two_theta | intensity |
| --- | --- |
| 29.86 | 33 |
| 31.05 | 100 |
| 32.65 | 46 |
| 38.92 | 26 |
| 49.54 | 31 |
| 58.93 | 24 |

Cell and atoms:
Lattice parameters (Å, degrees): 9.9317 9.9317 9.9317 43.50 43.50 43.50
Sites, in units of the cell vectors:
La1 0.0000 0.0000 0.0000
Pm1 0.0000 0.0000 0.5000
Pm2 0.0000 0.5000 0.0000
Pm3 0.5000 0.0000 0.0000
Pm4 0.5000 0.5000 0.5000
Er1 0.2495 0.2495 0.6897
Er2 0.2495 0.6897 0.2495
Er3 0.2810 0.2810 0.2810
Er4 0.3103 0.7505 0.7505
Er5 0.6897 0.2495 0.2495
Er6 0.7190 0.7190 0.7190
Er7 0.7505 0.3103 0.7505
Er8 0.7505 0.7505 0.3103

Entry 3:
This entry pairs a crystal structure of Tl3PbCl5 with its simulated X-ray powder pattern. Radiation: Cu Ka. Structure: DFT lattice parameters and positions (PBE).
Neutral-atom scattering factors, no anomalous dispersion.

Top 6 peaks for 5 to 70 degrees two-theta, in order of rising 2θ:
| two_theta | intensity |
| --- | --- |
| 22.99 | 40 |
| 23.12 | 37 |
| 23.85 | 100 |
| 29.26 | 61 |
| 33.26 | 67 |
| 33.46 | 55 |

Cell and atoms:
Lattice parameters (Å, degrees): 8.6017 8.6017 15.0420 90.00 90.00 90.00
Sites, in units of the cell vectors:
Tl1 0.0091 0.1897 0.0000
Tl2 0.1148 0.3198 0.5745
Tl3 0.1743 0.3689 0.2670
Tl4 0.1897 0.9909 0.7500
Tl5 0.3198 0.8852 0.3245
Tl6 0.3689 0.8257 0.0170
Tl7 0.6311 0.1743 0.5170
Tl8 0.6802 0.1148 0.8245
Tl9 0.8103 0.0091 0.2500
Tl10 0.8257 0.6311 0.7670
Tl11 0.8852 0.6802 0.0745
Tl12 0.9909 0.8103 0.5000
Pb1 0.3047 0.4919 0.8383
Pb2 0.4919 0.6953 0.5883
Pb3 0.5081 0.3047 0.0883
Pb4 0.6953 0.5081 0.3383
Cl1 0.0245 0.3289 0.7958
Cl2 0.0398 0.8111 0.9005
Cl3 0.1802 0.6446 0.6699
Cl4 0.1889 0.0398 0.1505
Cl5 0.2024 0.4897 0.0489
Cl6 0.3289 0.9755 0.5458
Cl7 0.3554 0.1802 0.9199
Cl8 0.3639 0.5150 0.4543
Cl9 0.4850 0.3639 0.7043
Cl10 0.4897 0.7976 0.7989
Cl11 0.5103 0.2024 0.2989
Cl12 0.5150 0.6361 0.2043
Cl13 0.6361 0.4850 0.9543
Cl14 0.6446 0.8198 0.4199
Cl15 0.6711 0.0245 0.0458
Cl16 0.7976 0.5103 0.5489
Cl17 0.8111 0.9602 0.6505
Cl18 0.8198 0.3554 0.1699
Cl19 0.9602 0.1889 0.4005
Cl20 0.9755 0.6711 0.2958

Entry 4:
This entry pairs a crystal structure of Co4Si2Ru with its simulated X-ray powder pattern. Radiation: Cu Ka. Structure: DFT lattice parameters and positions (PBE).
Neutral-atom scattering factors, no anomalous dispersion.

Top 6 peaks for 5 to 70 degrees two-theta, in order of rising 2θ:
| two_theta | intensity |
| --- | --- |
| 38.70 | 100 |
| 42.82 | 51 |
| 45.53 | 53 |
| 49.10 | 36 |
| 49.67 | 36 |
| 67.15 | 25 |

Cell and atoms:
Lattice parameters (Å, degrees): 6.6780 6.6780 3.7113 90.00 90.00 90.00
Sites, in units of the cell vectors:
Co1 0.0957 0.3475 0.0000
Co2 0.1525 0.5957 0.5000
Co3 0.3475 0.0957 0.0000
Co4 0.4043 0.8475 0.5000
Co5 0.5957 0.1525 0.5000
Co6 0.6525 0.9043 0.0000
Co7 0.8475 0.4043 0.5000
Co8 0.9043 0.6525 0.0000
Si1 0.2073 0.7927 0.0000
Si2 0.2927 0.2927 0.5000
Si3 0.7073 0.7073 0.5000
Si4 0.7927 0.2073 0.0000
Ru1 0.0000 0.0000 0.5000
Ru2 0.5000 0.5000 0.0000

Entry 5:
This entry pairs a crystal structure of La5Pt2Pb with its simulated X-ray powder pattern. Radiation: Cu Ka. Structure: DFT lattice parameters and positions (PBE).
Neutral-atom scattering factors, no anomalous dispersion.

Top 6 peaks for 5 to 70 degrees two-theta, in order of rising 2θ:
| two_theta | intensity |
| --- | --- |
| 30.75 | 100 |
| 33.38 | 24 |
| 34.31 | 65 |
| 40.18 | 24 |
| 63.63 | 26 |
| 63.78 | 17 |

Cell and atoms:
Lattice parameters (Å, degrees): 9.1660 9.1660 9.1660 126.40 126.40 79.23
Sites, in units of the cell vectors:
La1 0.0000 0.0000 0.0000
La2 0.0217 0.5217 0.8173
La3 0.2044 0.0217 0.5000
La4 0.2956 0.7956 0.8173
La5 0.4783 0.2956 0.5000
La6 0.5000 0.5000 0.0000
La7 0.5217 0.7044 0.5000
La8 0.7044 0.2044 0.1827
La9 0.7956 0.9783 0.5000
La10 0.9783 0.4783 0.1827
Pt1 0.1376 0.3624 0.5000
Pt2 0.3624 0.8624 0.2248
Pt3 0.6376 0.1376 0.7752
Pt4 0.8624 0.6376 0.5000
Pb1 0.2500 0.2500 0.0000
Pb2 0.7500 0.7500 0.0000

Entry 6:
This entry pairs a crystal structure of Sr3GaBr7 with its simulated X-ray powder pattern. Radiation: Cu Ka. Structure: DFT lattice parameters and positions (PBE).
Neutral-atom scattering factors, no anomalous dispersion.

Top 6 peaks for 5 to 70 degrees two-theta, in order of rising 2θ:
| two_theta | intensity |
| --- | --- |
| 20.40 | 26 |
| 21.25 | 26 |
| 33.19 | 29 |
| 34.36 | 100 |
| 35.34 | 23 |
| 60.05 | 17 |

Cell and atoms:
Lattice parameters (Å, degrees): 9.1313 9.1313 10.1580 90.00 90.00 107.50
Sites, in units of the cell vectors:
Sr1 0.0012 0.0012 0.0000
Sr2 0.0389 0.5070 0.2506
Sr3 0.4930 0.9611 0.2494
Sr4 0.5070 0.0389 0.7494
Sr5 0.9611 0.4930 0.7506
Sr6 0.9988 0.9988 0.5000
Ga1 0.4980 0.4980 0.5000
Ga2 0.5020 0.5020 0.0000
Br1 0.1271 0.8729 0.2500
Br2 0.1344 0.3830 0.5219
Br3 0.1339 0.3828 0.9792
Br4 0.1412 0.8588 0.7500
Br5 0.3828 0.1339 0.0208
Br6 0.3830 0.1344 0.4781
Br7 0.3895 0.6105 0.2500
Br8 0.6105 0.3895 0.7500
Br9 0.6172 0.8661 0.5208
Br10 0.6170 0.8656 0.9781
Br11 0.8588 0.1412 0.2500
Br12 0.8656 0.6170 0.0219
Br13 0.8661 0.6172 0.4792
Br14 0.8729 0.1271 0.7500

Entry 7:
This entry pairs a crystal structure of SrPH3O4 with its simulated X-ray powder pattern. Radiation: Cu Ka. Structure: DFT lattice parameters and positions (PBE).
Neutral-atom scattering factors, no anomalous dispersion.

Top 6 peaks for 5 to 70 degrees two-theta, in order of rising 2θ:
| two_theta | intensity |
| --- | --- |
| 12.06 | 100 |
| 27.44 | 53 |
| 28.51 | 88 |
| 31.83 | 29 |
| 32.65 | 20 |
| 38.72 | 25 |

Cell and atoms:
Lattice parameters (Å, degrees): 7.7582 7.1458 8.2495 90.00 108.94 90.00
Sites, in units of the cell vectors:
Sr1 0.1263 0.1379 0.3486
Sr2 0.1263 0.3621 0.8486
Sr3 0.8737 0.6379 0.1514
Sr4 0.8737 0.8621 0.6514
P1 0.2256 0.6485 0.5052
P2 0.2256 0.8515 0.0052
P3 0.7744 0.1485 0.9948
P4 0.7744 0.3515 0.4948
H1 0.3086 0.0453 0.7314
H2 0.3086 0.4547 0.2314
H3 0.3846 0.7372 0.4956
H4 0.3846 0.7628 0.9956
H5 0.4953 0.1015 0.7043
H6 0.4953 0.3985 0.2043
H7 0.5047 0.6015 0.7957
H8 0.5047 0.8985 0.2957
H9 0.6154 0.2372 0.0044
H10 0.6154 0.2628 0.5044
H11 0.6914 0.5453 0.7686
H12 0.6914 0.9547 0.2686
O1 0.0709 0.7030 0.9572
O2 0.0709 0.7970 0.4572
O3 0.1771 0.0062 0.8661
O4 0.1771 0.4938 0.3661
O5 0.2715 0.5751 0.6887
O6 0.2715 0.9249 0.1887
O7 0.3604 0.1112 0.6515
O8 0.3604 0.3888 0.1515
O9 0.6396 0.6112 0.8485
O10 0.6396 0.8888 0.3485
O11 0.7285 0.0751 0.8113
O12 0.7285 0.4249 0.3113
O13 0.8229 0.5062 0.6339
O14 0.8229 0.9938 0.1339
O15 0.9291 0.2030 0.5428
O16 0.9291 0.2970 0.0428

Entry 8:
This entry pairs a crystal structure of SmYGa2Ir2 with its simulated X-ray powder pattern. Radiation: Cu Ka. Structure: DFT lattice parameters and positions (PBE).
Neutral-atom scattering factors, no anomalous dispersion.

Top 6 peaks for 5 to 70 degrees two-theta, in order of rising 2θ:
| two_theta | intensity |
| --- | --- |
| 26.41 | 35 |
| 34.17 | 100 |
| 40.96 | 71 |
| 50.50 | 12 |
| 54.37 | 26 |
| 66.97 | 32 |

Cell and atoms:
Lattice parameters (Å, degrees): 4.4063 4.4063 7.2296 90.00 90.00 120.00
Sites, in units of the cell vectors:
Sm1 0.0000 0.0000 0.0000
Y1 0.0000 0.0000 0.5000
Ga1 0.3333 0.6667 0.2613
Ga2 0.6667 0.3333 0.7387
Ir1 0.3333 0.6667 0.7408
Ir2 0.6667 0.3333 0.2592